1.
Diffraction record for GePb2Cl. The powder XRD pattern is calculated, not measured: it uses a structure optimized by DFT (GGA-PBE) and Cu Kα.
Kinematic intensities with the Lorentz-polarization factor, no thermal factor.

Structural model:
Unit cell a=7.4522 b=7.4522 c=7.4522 alpha=90.00 beta=90.00 gamma=90.00
Space group Fm-3m (No. 225)
Inequivalent atoms, fractional coordinates:
Ge (0.0000, 0.0000, 0.0000) (multiplicity 4)
Pb (0.2500, 0.2500, 0.2500) (multiplicity 8)
Cl (0.0000, 0.0000, 0.5000) (multiplicity 4)

The 8 most intense peaks (2θ = 5–70°), by angle:
- 2θ 20.64, d 4.303, I = 1
- 2θ 23.88, d 3.726, I = 38
- 2θ 34.03, d 2.635, I = 100
- 2θ 40.13, d 2.247, I = 1
- 2θ 42.00, d 2.151, I = 13
- 2θ 48.89, d 1.863, I = 18
- 2θ 55.11, d 1.666, I = 18
- 2θ 60.90, d 1.521, I = 38


2.
Diffraction record for Tb2PmHoTh. The powder XRD pattern is calculated, not measured: it uses a structure optimized by DFT (GGA-PBE) and Cu Kα.
Kinematic intensities with the Lorentz-polarization factor, no thermal factor.

Structural model:
Unit cell a=8.5759 b=11.8874 c=6.9290 alpha=90.00 beta=90.00 gamma=90.00
Space group Cmcm (No. 63)
Inequivalent atoms, fractional coordinates:
Tb (0.1830, 0.0000, 0.0000) (multiplicity 8)
Pm (0.0000, 0.2323, 0.2500) (multiplicity 4)
Ho (0.0000, 0.2247, 0.7500) (multiplicity 4)
Th (0.0000, 0.4985, 0.7500) (multiplicity 4)

The 12 most intense peaks (2θ = 5–70°), by angle:
- 2θ 14.90, d 5.944, I = 35
- 2θ 20.71, d 4.288, I = 31
- 2θ 25.64, d 3.475, I = 37
- 2θ 28.79, d 3.101, I = 50
- 2θ 29.85, d 2.993, I = 37
- 2θ 30.07, d 2.972, I = 76
- 2θ 32.21, d 2.779, I = 46
- 2θ 33.25, d 2.695, I = 100
- 2θ 35.99, d 2.495, I = 66
- 2θ 38.85, d 2.318, I = 50
- 2θ 45.43, d 1.996, I = 75
- 2θ 61.79, d 1.501, I = 22


3.
Diffraction record for Zn6Au. The powder XRD pattern is calculated, not measured: it uses a structure optimized by DFT (GGA-PBE) and Cu Kα.
Kinematic intensities with the Lorentz-polarization factor, no thermal factor.

Structural model:
Unit cell a=5.0029 b=5.0029 c=9.0951 alpha=90.00 beta=90.00 gamma=90.00
Space group P4/nbm (No. 125, origin choice 2)
Inequivalent atoms, fractional coordinates:
Zn (0.0719, 0.5719, 0.1362) (multiplicity 8)
Zn (0.2500, 0.2500, 0.3576) (multiplicity 4)
Au (0.2500, 0.7500, 0.5000) (multiplicity 2)

The 12 most intense peaks (2θ = 5–70°), by angle:
- 2θ 9.72, d 9.095, I = 31
- 2θ 19.52, d 4.548, I = 12
- 2θ 29.46, d 3.032, I = 27
- 2θ 32.05, d 2.792, I = 45
- 2θ 37.28, d 2.412, I = 100
- 2θ 39.13, d 2.302, I = 74
- 2θ 41.19, d 2.192, I = 17
- 2θ 41.57, d 2.173, I = 21
- 2θ 45.16, d 2.008, I = 28
- 2θ 47.54, d 1.913, I = 23
- 2θ 51.68, d 1.769, I = 24
- 2θ 62.12, d 1.494, I = 17


4.
Diffraction record for Mn8Zn. The powder XRD pattern is calculated, not measured: it uses a structure optimized by DFT (GGA-PBE) and Cu Kα.
Kinematic intensities with the Lorentz-polarization factor, no thermal factor.

Structural model:
Unit cell a=7.4838 b=7.4838 c=3.5715 alpha=90.00 beta=90.00 gamma=90.00
Space group I4/mmm (No. 139)
Inequivalent atoms, fractional coordinates:
Mn (0.0000, 0.3421, 0.0000) (multiplicity 8)
Mn (0.1759, 0.1759, 0.5000) (multiplicity 8)
Zn (0.0000, 0.0000, 0.0000) (multiplicity 2)

The 6 most intense peaks (2θ = 5–70°), by angle:
- 2θ 27.68, d 3.223, I = 1
- 2θ 33.88, d 2.646, I = 2
- 2θ 36.80, d 2.442, I = 1
- 2θ 44.29, d 2.045, I = 100
- 2θ 51.15, d 1.786, I = 16
- 2θ 51.83, d 1.764, I = 30


5.
Diffraction record for Na8B11C5. The powder XRD pattern is calculated, not measured: it uses a structure optimized by DFT (GGA-PBE) and Cu Kα.
Kinematic intensities with the Lorentz-polarization factor, no thermal factor.

Structural model:
Unit cell a=2.8090 b=8.5948 c=10.2834 alpha=90.00 beta=90.00 gamma=90.00
Space group Pmm2 (No. 25)
Inequivalent atoms, fractional coordinates:
Na (0.0000, 0.2467, 0.0000) (multiplicity 2)
Na (0.0000, 0.2500, 0.4957) (multiplicity 2)
Na (0.5000, 0.2491, 0.2466) (multiplicity 2)
Na (0.5000, 0.2488, 0.7477) (multiplicity 2)
B (0.0000, 0.0000, 0.3358) (multiplicity 1)
B (0.0000, 0.0000, 0.8096) (multiplicity 1)
B (0.0000, 0.5000, 0.1476) (multiplicity 1)
B (0.0000, 0.5000, 0.3143) (multiplicity 1)
B (0.0000, 0.5000, 0.6883) (multiplicity 1)
B (0.5000, 0.0000, 0.0950) (multiplicity 1)
B (0.5000, 0.0000, 0.5741) (multiplicity 1)
B (0.5000, 0.0000, 0.9218) (multiplicity 1)
B (0.5000, 0.5000, 0.4200) (multiplicity 1)
B (0.5000, 0.5000, 0.5835) (multiplicity 1)
B (0.5000, 0.5000, 0.9165) (multiplicity 1)
C (0.0000, 0.0000, 0.1751) (multiplicity 1)
C (0.0000, 0.0000, 0.6560) (multiplicity 1)
C (0.0000, 0.5000, 0.8382) (multiplicity 1)
C (0.5000, 0.0000, 0.4157) (multiplicity 1)
C (0.5000, 0.5000, 0.0711) (multiplicity 1)

The 12 most intense peaks (2θ = 5–70°), by angle:
- 2θ 13.43, d 6.595, I = 2
- 2θ 20.67, d 4.297, I = 2
- 2θ 34.90, d 2.571, I = 12
- 2θ 36.45, d 2.465, I = 17
- 2θ 40.91, d 2.206, I = 49
- 2θ 42.05, d 2.149, I = 39
- 2θ 42.27, d 2.138, I = 100
- 2θ 55.76, d 1.649, I = 6
- 2θ 56.84, d 1.620, I = 10
- 2θ 63.60, d 1.463, I = 17
- 2θ 66.58, d 1.405, I = 8
- 2θ 67.64, d 1.385, I = 2


6.
Diffraction record for Mo3C5. The powder XRD pattern is calculated, not measured: it uses a structure optimized by DFT (GGA-PBE) and Cu Kα.
Kinematic intensities with the Lorentz-polarization factor, no thermal factor.

Structural model:
Unit cell a=5.9556 b=10.6978 c=5.9035 alpha=90.00 beta=114.04 gamma=90.00
Space group Cm (No. 8)
Inequivalent atoms, fractional coordinates:
Mo (0.0000, 0.0000, 0.0000) (multiplicity 2)
Mo (0.0536, 0.2889, 0.7436) (multiplicity 4)
Mo (0.1112, 0.3637, 0.2731) (multiplicity 4)
Mo (0.2037, 0.0000, 0.5231) (multiplicity 2)
C (0.1607, 0.1896, 0.1175) (multiplicity 4)
C (0.2522, 0.4320, 0.6523) (multiplicity 4)
C (0.2813, 0.1805, 0.3808) (multiplicity 4)
C (0.3589, 0.5000, 0.2573) (multiplicity 2)
C (0.3619, 0.0000, 0.2698) (multiplicity 2)
C (0.4429, 0.0653, 0.8870) (multiplicity 4)

The 12 most intense peaks (2θ = 5–70°), by angle:
- 2θ 29.96, d 2.982, I = 100
- 2θ 30.18, d 2.961, I = 20
- 2θ 31.58, d 2.833, I = 49
- 2θ 32.94, d 2.720, I = 33
- 2θ 34.62, d 2.591, I = 44
- 2θ 37.36, d 2.407, I = 43
- 2θ 37.55, d 2.396, I = 30
- 2θ 39.98, d 2.255, I = 26
- 2θ 43.96, d 2.060, I = 23
- 2θ 46.19, d 1.965, I = 26
- 2θ 55.52, d 1.655, I = 21
- 2θ 59.80, d 1.547, I = 22


7.
Diffraction record for KZnHCl3. The powder XRD pattern is calculated, not measured: it uses a structure optimized by DFT (GGA-PBE) and Cu Kα.
Kinematic intensities with the Lorentz-polarization factor, no thermal factor.

Structural model:
Unit cell a=6.4790 b=8.4084 c=11.9922 alpha=90.00 beta=90.00 gamma=90.00
Space group P2_12_12_1 (No. 19)
Inequivalent atoms, fractional coordinates:
K (0.2131, 0.0197, 0.4871) (multiplicity 4)
Zn (0.2347, 0.4562, 0.7282) (multiplicity 4)
H (0.0904, 0.6339, 0.7206) (multiplicity 4)
Cl (0.0634, 0.2869, 0.8538) (multiplicity 4)
Cl (0.0674, 0.0140, 0.2295) (multiplicity 4)
Cl (0.1908, 0.3838, 0.5471) (multiplicity 4)

The 12 most intense peaks (2θ = 5–70°), by angle:
- 2θ 17.28, d 5.132, I = 30
- 2θ 18.81, d 4.718, I = 34
- 2θ 21.13, d 4.204, I = 63
- 2θ 22.41, d 3.967, I = 41
- 2θ 22.81, d 3.899, I = 100
- 2θ 26.34, d 3.383, I = 41
- 2θ 29.80, d 2.998, I = 30
- 2θ 30.50, d 2.931, I = 36
- 2θ 34.96, d 2.567, I = 30
- 2θ 36.82, d 2.441, I = 55
- 2θ 38.07, d 2.364, I = 35
- 2θ 45.95, d 1.975, I = 35


8.
Diffraction record for Sm12InPd5. The powder XRD pattern is calculated, not measured: it uses a structure optimized by DFT (GGA-PBE) and Cu Kα.
Kinematic intensities with the Lorentz-polarization factor, no thermal factor.

Structural model:
Unit cell a=9.6689 b=9.9433 c=10.5150 alpha=90.00 beta=90.00 gamma=90.00
Space group Immm (No. 71)
Inequivalent atoms, fractional coordinates:
Sm (0.0000, 0.1885, 0.2243) (multiplicity 8)
Sm (0.1991, 0.5000, 0.1743) (multiplicity 8)
Sm (0.2118, 0.3202, 0.5000) (multiplicity 8)
In (0.0000, 0.0000, 0.5000) (multiplicity 2)
Pd (0.0000, 0.0000, 0.0000) (multiplicity 2)
Pd (0.0000, 0.3521, 0.0000) (multiplicity 4)
Pd (0.0000, 0.5000, 0.3683) (multiplicity 4)

The 12 most intense peaks (2θ = 5–70°), by angle:
- 2θ 29.13, d 3.066, I = 25
- 2θ 30.90, d 2.894, I = 100
- 2θ 32.82, d 2.729, I = 78
- 2θ 33.27, d 2.693, I = 89
- 2θ 33.88, d 2.646, I = 59
- 2θ 34.24, d 2.619, I = 32
- 2θ 37.20, d 2.417, I = 35
- 2θ 37.92, d 2.372, I = 20
- 2θ 38.75, d 2.324, I = 19
- 2θ 54.19, d 1.693, I = 23
- 2θ 56.51, d 1.629, I = 23
- 2θ 57.93, d 1.592, I = 42